This entry pairs a crystal structure of TcS2 with its simulated powder diffractogram. Radiation: copper Kα. Structure: a structure optimized by DFT (GGA-PBE).
Kinematic intensities with the Lorentz-polarization factor, no thermal factor.

Peak list (6 most intense, 2θ = 10–90°, in order of rising 2θ)
Position (°2θ), d_spacing, I_rel
23.8, 3.746, 100
30.7, 2.914, 36
32.5, 2.752, 40
32.8, 2.728, 45
48.6, 1.872, 47
49.1, 1.855, 33

Structure:
```
TcS2
1.0
5.8773 0.0000 0.0000
0.0000 5.8288 0.0000
-2.2058 0.0000 5.5048
Tc S
4 8
Direct
0.2259 0.0005 0.2125
0.2259 0.4995 0.7125
0.7741 0.5005 0.2875
0.7741 0.9995 0.7875
0.1561 0.1326 0.8230
0.1561 0.3674 0.3230
0.3471 0.6235 0.1317
0.3471 0.8765 0.6317
0.6529 0.1235 0.3683
0.6529 0.3765 0.8683
0.8439 0.6326 0.6770
0.8439 0.8674 0.1770
```